# BaPtBr6
Calculated powder X-ray diffraction pattern, Cu Ka. Input: the PBE geometry in Alexandria.
Lines closer than 0.1° are merged.

Structural model:
a = 8.8045 Å, b = 9.6455 Å, c = 7.5920 Å
α = 90.00°, β = 118.22°, γ = 90.00°
Sites, in units of the cell vectors:
Ba 0.0000 0.0000 0.0000
Ba 0.5000 0.5000 0.0000
Pt 0.0000 0.5000 0.0000
Pt 0.5000 0.0000 0.0000
Br 0.0578 0.3192 0.8014
Br 0.0578 0.6808 0.8014
Br 0.1946 0.0000 0.7211
Br 0.3054 0.5000 0.2789
Br 0.4422 0.1808 0.1986
Br 0.4422 0.8192 0.1986
Br 0.5578 0.1808 0.8014
Br 0.5578 0.8192 0.8014
Br 0.6946 0.5000 0.7211
Br 0.8054 0.0000 0.2789
Br 0.9422 0.3192 0.1986
Br 0.9422 0.6808 0.1986

Largest 6 diffraction maxima, most intense first, 10 to 80 degrees two-theta:
(2 0 1), 2θ = 31.72°, intensity 100
(0 0 1), 2θ = 13.24°, intensity 85
(1 1 -1), 2θ = 15.72°, intensity 34
(2 0 0), 2θ = 22.93°, intensity 30
(4 2 -1), 2θ = 46.13°, intensity 21
(2 2 -1), 2θ = 27.54°, intensity 20